This entry pairs a crystal structure of GdEr3Si4 with its theoretical XRD peak list. Radiation: a wavelength of 1.5418 Å. Structure: a cell relaxed with PBE.
Intensities are scaled so that the largest is 1000.

The 8 most intense peaks (15 to 90 degrees two-theta), sorted by position:
- 28.16 deg, d = 3.169 Å, I 403
- 30.41 deg, d = 2.939 Å, I 1000
- 32.67 deg, d = 2.741 Å, I 728
- 33.60 deg, d = 2.667 Å, I 802
- 36.41 deg, d = 2.468 Å, I 412
- 37.80 deg, d = 2.380 Å, I 447
- 41.28 deg, d = 2.187 Å, I 369
- 59.51 deg, d = 1.553 Å, I 312

Structure:
```
GdEr3Si4
1.0
5.670 0.000 0.000
0.000 3.822 0.000
-0.018 0.000 7.866
Gd Er Si
1 3 4
Direct
0.000 0.000 0.000
0.271 0.000 0.500
0.501 0.500 0.143
0.771 0.500 0.641
0.017 0.500 0.285
0.257 0.500 0.781
0.516 0.000 0.858
0.755 0.000 0.361
```

=====

This entry pairs a crystal structure of GdErTa2Si2 with its theoretical XRD peak list. Radiation: a wavelength of 1.5418 Å. Structure: a cell relaxed with PBE.
Intensities are scaled so that the largest is 1000.

The 8 most intense peaks (15 to 90 degrees two-theta), sorted by position:
- 25.05 deg, d = 3.555 Å, I 275
- 32.13 deg, d = 2.786 Å, I 381
- 33.74 deg, d = 2.657 Å, I 1000
- 34.63 deg, d = 2.590 Å, I 324
- 39.42 deg, d = 2.286 Å, I 550
- 45.37 deg, d = 1.999 Å, I 398
- 57.57 deg, d = 1.601 Å, I 244
- 58.31 deg, d = 1.582 Å, I 293

Structure:
```
GdErTa2Si2
1.0
3.998 0.000 0.000
0.000 3.998 0.000
0.000 0.000 7.770
Gd Er Ta Si
1 1 2 2
Direct
0.000 0.000 0.000
0.500 0.500 0.706
0.000 0.500 0.357
0.500 0.000 0.357
0.000 0.000 0.596
0.500 0.500 0.117
```

=====

This entry pairs a crystal structure of SmGdErTmTl2 with its theoretical XRD peak list. Radiation: a wavelength of 1.5418 Å. Structure: a cell relaxed with PBE.
Intensities are scaled so that the largest is 1000.

The 8 most intense peaks (15 to 90 degrees two-theta), sorted by position:
- 32.74 deg, d = 2.736 Å, I 884
- 33.17 deg, d = 2.701 Å, I 1000
- 42.90 deg, d = 2.108 Å, I 146
- 47.30 deg, d = 1.922 Å, I 320
- 58.99 deg, d = 1.566 Å, I 333
- 59.26 deg, d = 1.559 Å, I 192
- 65.23 deg, d = 1.430 Å, I 286
- 79.09 deg, d = 1.211 Å, I 143

Structure:
```
SmGdErTmTl2
1.0
5.402 0.000 0.000
-2.701 4.678 0.000
0.000 0.000 6.745
Sm Gd Er Tm Tl
1 1 1 1 2
Direct
0.000 0.000 0.000
0.667 0.333 0.259
0.667 0.333 0.746
0.333 0.667 0.506
0.000 0.000 0.504
0.333 0.667 0.001
```

=====

This entry pairs a crystal structure of GdErTl2Zn2 with its theoretical XRD peak list. Radiation: a wavelength of 1.5418 Å. Structure: a cell relaxed with PBE.
Intensities are scaled so that the largest is 1000.

The 8 most intense peaks (15 to 90 degrees two-theta), sorted by position:
- 25.07 deg, d = 3.552 Å, I 374
- 32.88 deg, d = 2.724 Å, I 1000
- 38.43 deg, d = 2.342 Å, I 772
- 43.12 deg, d = 2.098 Å, I 203
- 51.45 deg, d = 1.776 Å, I 285
- 64.44 deg, d = 1.446 Å, I 200
- 66.01 deg, d = 1.415 Å, I 269
- 69.51 deg, d = 1.352 Å, I 135

Structure:
```
GdErTl2Zn2
1.0
4.685 0.000 0.000
-2.342 4.057 0.000
0.000 0.000 7.352
Gd Er Tl Zn
1 1 2 2
Direct
0.000 0.000 0.000
0.000 0.000 0.501
0.333 0.667 0.283
0.667 0.333 0.777
0.333 0.667 0.694
0.667 0.333 0.199
```

=====

This entry pairs a crystal structure of Gd2Er5Tm with its theoretical XRD peak list. Radiation: a wavelength of 1.5418 Å. Structure: a cell relaxed with PBE.
Intensities are scaled so that the largest is 1000.

The 8 most intense peaks (15 to 90 degrees two-theta), sorted by position:
- 28.84 deg, d = 3.096 Å, I 238
- 32.01 deg, d = 2.796 Å, I 242
- 33.08 deg, d = 2.708 Å, I 1000
- 43.62 deg, d = 2.075 Å, I 156
- 51.11 deg, d = 1.787 Å, I 197
- 57.73 deg, d = 1.597 Å, I 205
- 61.58 deg, d = 1.506 Å, I 225
- 62.24 deg, d = 1.492 Å, I 164

Structure:
```
Gd2Er5Tm
1.0
5.593 0.000 0.000
0.000 3.574 6.191
0.000 -3.574 6.191
Gd Er Tm
2 5 1
Direct
0.000 0.000 0.000
0.500 0.333 0.333
0.000 0.501 0.501
0.000 0.501 0.998
0.000 0.998 0.501
0.500 0.335 0.832
0.500 0.832 0.335
0.500 0.832 0.832
```

=====

This entry pairs a crystal structure of GdEr6Tm with its theoretical XRD peak list. Radiation: a wavelength of 1.5418 Å. Structure: a cell relaxed with PBE.
Intensities are scaled so that the largest is 1000.

The 8 most intense peaks (15 to 90 degrees two-theta), sorted by position:
- 28.86 deg, d = 3.094 Å, I 239
- 32.22 deg, d = 2.778 Å, I 239
- 33.14 deg, d = 2.703 Å, I 1000
- 43.80 deg, d = 2.067 Å, I 155
- 51.13 deg, d = 1.786 Å, I 198
- 58.04 deg, d = 1.589 Å, I 203
- 61.74 deg, d = 1.503 Å, I 225
- 62.30 deg, d = 1.490 Å, I 164

Structure:
```
GdEr6Tm
1.0
7.146 0.000 0.000
-3.573 6.188 0.000
0.000 0.000 5.556
Gd Er Tm
1 6 1
Direct
0.000 0.000 0.000
0.002 0.501 0.000
0.168 0.335 0.500
0.168 0.832 0.500
0.499 0.501 0.000
0.499 0.998 0.000
0.665 0.832 0.500
0.667 0.333 0.500
```

=====

This entry pairs a crystal structure of Gd3Er2Tm3 with its theoretical XRD peak list. Radiation: a wavelength of 1.5418 Å. Structure: a cell relaxed with PBE.
Intensities are scaled so that the largest is 1000.

The 8 most intense peaks (15 to 90 degrees two-theta), sorted by position:
- 28.77 deg, d = 3.103 Å, I 238
- 32.00 deg, d = 2.797 Å, I 241
- 33.01 deg, d = 2.714 Å, I 1000
- 43.56 deg, d = 2.078 Å, I 156
- 50.97 deg, d = 1.792 Å, I 197
- 57.68 deg, d = 1.598 Å, I 205
- 61.46 deg, d = 1.509 Å, I 225
- 62.07 deg, d = 1.495 Å, I 164

Structure:
```
Gd3Er2Tm3
1.0
5.593 0.000 0.000
0.000 3.584 6.206
0.000 -3.584 6.206
Gd Er Tm
3 2 3
Direct
0.000 0.000 0.000
0.500 0.333 0.833
0.500 0.833 0.333
0.000 0.500 0.500
0.500 0.833 0.833
0.000 0.501 0.999
0.000 0.999 0.501
0.500 0.334 0.334
```

=====

This entry pairs a crystal structure of GdErTm2Zn2 with its theoretical XRD peak list. Radiation: a wavelength of 1.5418 Å. Structure: a cell relaxed with PBE.
Intensities are scaled so that the largest is 1000.

The 8 most intense peaks (15 to 90 degrees two-theta), sorted by position:
- 27.96 deg, d = 3.191 Å, I 209
- 33.21 deg, d = 2.698 Å, I 190
- 34.56 deg, d = 2.595 Å, I 288
- 34.74 deg, d = 2.583 Å, I 1000
- 48.69 deg, d = 1.870 Å, I 130
- 51.17 deg, d = 1.785 Å, I 94
- 62.04 deg, d = 1.496 Å, I 185
- 63.22 deg, d = 1.471 Å, I 99

Structure:
```
GdErTm2Zn2
1.0
5.191 0.000 0.000
0.000 1.785 8.093
0.000 -1.785 8.093
Gd Er Tm Zn
1 1 2 2
Direct
0.000 0.000 0.000
0.500 0.839 0.839
0.000 0.698 0.698
0.500 0.142 0.142
0.000 0.346 0.346
0.500 0.492 0.492
```

=====

This entry pairs a crystal structure of Gd2YEr with its theoretical XRD peak list. Radiation: a wavelength of 1.5418 Å. Structure: a cell relaxed with PBE.
Intensities are scaled so that the largest is 1000.

The 8 most intense peaks (15 to 90 degrees two-theta), sorted by position:
- 28.40 deg, d = 3.142 Å, I 239
- 31.62 deg, d = 2.830 Å, I 241
- 32.59 deg, d = 2.747 Å, I 1000
- 43.02 deg, d = 2.103 Å, I 155
- 50.29 deg, d = 1.814 Å, I 197
- 56.93 deg, d = 1.617 Å, I 203
- 60.63 deg, d = 1.527 Å, I 224
- 61.22 deg, d = 1.514 Å, I 163

Structure:
```
Gd2YEr
1.0
5.659 0.000 0.000
0.000 6.286 3.628
0.000 -6.286 3.628
Gd Y Er
4 2 2
Direct
0.250 0.082 0.416
0.250 0.083 0.917
0.750 0.416 0.082
0.750 0.917 0.083
0.250 0.584 0.417
0.750 0.417 0.584
0.250 0.584 0.918
0.750 0.918 0.584
```

=====

This entry pairs a crystal structure of Gd2YEr5 with its theoretical XRD peak list. Radiation: a wavelength of 1.5418 Å. Structure: a cell relaxed with PBE.
Intensities are scaled so that the largest is 1000.

The 8 most intense peaks (15 to 90 degrees two-theta), sorted by position:
- 28.59 deg, d = 3.123 Å, I 241
- 31.91 deg, d = 2.805 Å, I 239
- 32.82 deg, d = 2.728 Å, I 1000
- 43.36 deg, d = 2.087 Å, I 157
- 57.44 deg, d = 1.604 Å, I 203
- 61.10 deg, d = 1.517 Å, I 225
- 61.66 deg, d = 1.504 Å, I 164
- 83.75 deg, d = 1.155 Å, I 140

Structure:
```
Gd2YEr5
1.0
5.610 0.000 0.000
0.000 3.606 6.245
0.000 -3.606 6.245
Gd Y Er
2 1 5
Direct
0.000 0.000 0.000
0.500 0.333 0.333
0.500 0.832 0.832
0.000 0.500 0.500
0.000 0.500 0.999
0.000 0.999 0.500
0.500 0.334 0.832
0.500 0.832 0.334
```

=====

This entry pairs a crystal structure of Gd3Y3Er2 with its theoretical XRD peak list. Radiation: a wavelength of 1.5418 Å. Structure: a cell relaxed with PBE.
Intensities are scaled so that the largest is 1000.

The 8 most intense peaks (15 to 90 degrees two-theta), sorted by position:
- 28.40 deg, d = 3.142 Å, I 242
- 31.67 deg, d = 2.826 Å, I 240
- 32.60 deg, d = 2.746 Å, I 1000
- 43.05 deg, d = 2.101 Å, I 156
- 50.29 deg, d = 1.814 Å, I 196
- 57.00 deg, d = 1.616 Å, I 202
- 60.66 deg, d = 1.527 Å, I 222
- 61.23 deg, d = 1.514 Å, I 162

Structure:
```
Gd3Y3Er2
1.0
5.651 0.000 0.000
0.000 3.628 6.285
0.000 -3.628 6.285
Gd Y Er
3 3 2
Direct
0.000 0.000 0.000
0.500 0.333 0.833
0.500 0.833 0.333
0.000 0.500 0.999
0.000 0.999 0.500
0.500 0.334 0.334
0.000 0.501 0.501
0.500 0.834 0.834
```

=====

This entry pairs a crystal structure of GdErZn6 with its theoretical XRD peak list. Radiation: a wavelength of 1.5418 Å. Structure: a cell relaxed with PBE.
Intensities are scaled so that the largest is 1000.

The 8 most intense peaks (15 to 90 degrees two-theta), sorted by position:
- 23.34 deg, d = 3.811 Å, I 135
- 27.02 deg, d = 3.300 Å, I 71
- 38.58 deg, d = 2.334 Å, I 1000
- 55.63 deg, d = 1.652 Å, I 112
- 55.85 deg, d = 1.646 Å, I 55
- 69.76 deg, d = 1.348 Å, I 221
- 69.90 deg, d = 1.346 Å, I 109
- 82.77 deg, d = 1.166 Å, I 68

Structure:
```
GdErZn6
1.0
4.673 0.000 0.000
0.000 6.585 0.000
0.000 0.000 4.672
Gd Er Zn
1 1 6
Direct
0.000 0.000 0.000
0.500 0.500 0.494
0.000 0.255 0.501
0.000 0.500 0.999
0.000 0.745 0.501
0.500 0.000 0.496
0.500 0.255 0.993
0.500 0.745 0.993
```